No. 1
This entry pairs a crystal structure of RbNaMo3O10 with its calculated powder diffractogram. Radiation: Cu Ka. Structure: a DFT-relaxed cell (GGA+U, Alexandria).
Peak positions follow from Bragg's law for the DFT cell and can differ from measured ones.

Atomic structure:
Cell lengths 7.8873, 7.7197, 15.7951 Å; angles 90.00, 90.00, 90.00 degrees
Fractional coordinates of all 60 atoms:
Rb 0.1322 0.2500 0.1451
Rb 0.3678 0.7500 0.6451
Rb 0.6322 0.2500 0.3549
Rb 0.8678 0.7500 0.8549
Na 0.0648 0.2500 0.7779
Na 0.4352 0.7500 0.2779
Na 0.5648 0.2500 0.7221
Na 0.9352 0.7500 0.2221
Mo 0.1057 0.9997 0.3973
Mo 0.1057 0.5003 0.3973
Mo 0.2364 0.2500 0.5562
Mo 0.2636 0.7500 0.0562
Mo 0.3943 0.0003 0.8973
Mo 0.3943 0.4997 0.8973
Mo 0.6057 0.9997 0.1027
Mo 0.6057 0.5003 0.1027
Mo 0.7364 0.2500 0.9438
Mo 0.7636 0.7500 0.4438
Mo 0.8943 0.0003 0.6027
Mo 0.8943 0.4997 0.6027
O 0.0021 0.0330 0.3005
O 0.0021 0.4670 0.3005
O 0.0540 0.7500 0.4103
O 0.0668 0.7500 0.0080
O 0.1119 0.2500 0.4257
O 0.1538 0.0140 0.5362
O 0.1538 0.4860 0.5362
O 0.1831 0.0316 0.8690
O 0.1831 0.4684 0.8690
O 0.2188 0.7500 0.1662
O 0.2812 0.2500 0.6662
O 0.3169 0.5316 0.3690
O 0.3169 0.9684 0.3690
O 0.3462 0.5140 0.0362
O 0.3462 0.9860 0.0362
O 0.3881 0.7500 0.9257
O 0.4332 0.2500 0.5080
O 0.4460 0.2500 0.9103
O 0.4979 0.5330 0.8005
O 0.4979 0.9670 0.8005
O 0.5021 0.0330 0.1995
O 0.5021 0.4670 0.1995
O 0.5540 0.7500 0.0897
O 0.5668 0.7500 0.4920
O 0.6119 0.2500 0.0743
O 0.6538 0.0140 0.9638
O 0.6538 0.4860 0.9638
O 0.6831 0.0316 0.6310
O 0.6831 0.4684 0.6310
O 0.7188 0.7500 0.3338
O 0.7812 0.2500 0.8338
O 0.8169 0.5316 0.1310
O 0.8169 0.9684 0.1310
O 0.8462 0.5140 0.4638
O 0.8462 0.9860 0.4638
O 0.8881 0.7500 0.5743
O 0.9332 0.2500 0.9920
O 0.9460 0.2500 0.5897
O 0.9979 0.5330 0.6995
O 0.9979 0.9670 0.6995

Top 8 peaks for 10 to 80 degrees two-theta, in order of rising 2θ:
2θ 11.20, I = 41.9, hkl 0 0 2; 2θ 12.54, I = 76.9, hkl 1 0 1; 2θ 22.52, I = 32.2, hkl 0 0 4; 2θ 23.35, I = 29.8, hkl 1 1 3; 2θ 26.32, I = 50.4, hkl 1 2 1; 2θ 28.11, I = 100.0, hkl 1 2 2; 2θ 28.27, I = 31.6, hkl 2 0 3; 2θ 30.54, I = 33.8, hkl 0 1 5



No. 2
This entry pairs a crystal structure of NaMoRhO6 with its calculated powder diffractogram. Radiation: Cu Ka. Structure: a DFT-relaxed cell (GGA+U, Alexandria).
Peak positions follow from Bragg's law for the DFT cell and can differ from measured ones.

Atomic structure:
Cell lengths 5.2579, 5.2579, 5.1497 Å; angles 90.00, 90.00, 120.00 degrees
Fractional coordinates of all 9 atoms:
Na 0.0000 0.0000 0.0000
Mo 0.3333 0.6667 0.5000
Rh 0.6667 0.3333 0.5000
O 0.0043 0.3774 0.7066
O 0.0043 0.6269 0.2934
O 0.3731 0.3774 0.2934
O 0.3731 0.9957 0.7066
O 0.6226 0.6269 0.7066
O 0.6226 0.9957 0.2934

Top 8 peaks for 10 to 80 degrees two-theta, in order of rising 2θ:
2θ 17.22, I = 100.0, hkl 0 0 1; 2θ 19.49, I = 44.1, hkl 1 0 0; 2θ 26.12, I = 85.6, hkl 1 0 1; 2θ 34.10, I = 40.4, hkl 1 1 0; 2θ 38.45, I = 59.3, hkl 2 -1 1; 2θ 49.55, I = 59.1, hkl 2 -1 2; 2θ 56.37, I = 18.6, hkl 3 -1 1; 2θ 61.05, I = 18.6, hkl 3 0 0



No. 3
This entry pairs a crystal structure of NaMoRuO6 with its calculated powder diffractogram. Radiation: Cu Ka. Structure: a DFT-relaxed cell (GGA+U, Alexandria).
Peak positions follow from Bragg's law for the DFT cell and can differ from measured ones.

Atomic structure:
Cell lengths 5.2364, 5.2364, 5.1925 Å; angles 90.00, 90.00, 120.00 degrees
Fractional coordinates of all 9 atoms:
Na 0.0000 0.0000 0.0000
Mo 0.3333 0.6667 0.4743
Ru 0.6667 0.3333 0.5417
O 0.0026 0.6339 0.3078
O 0.0062 0.3861 0.7232
O 0.3661 0.3687 0.3078
O 0.3799 0.9938 0.7232
O 0.6139 0.6201 0.7232
O 0.6313 0.9974 0.3078

Top 8 peaks for 10 to 80 degrees two-theta, in order of rising 2θ:
2θ 17.08, I = 100.0, hkl 0 0 1; 2θ 19.58, I = 44.8, hkl 1 0 0; 2θ 26.09, I = 92.4, hkl 0 1 1; 2θ 34.25, I = 41.1, hkl 1 1 0; 2θ 38.51, I = 58.2, hkl 2 -1 1; 2θ 49.44, I = 53.6, hkl 2 -1 2; 2θ 56.54, I = 20.0, hkl 3 -2 1; 2θ 61.33, I = 19.0, hkl 3 0 0



No. 4
This entry pairs a crystal structure of NaMo2RuO with its calculated powder diffractogram. Radiation: Cu Ka. Structure: a DFT-relaxed cell (GGA+U, Alexandria).
Peak positions follow from Bragg's law for the DFT cell and can differ from measured ones.

Atomic structure:
Cell lengths 4.9314, 4.9314, 5.3403 Å; angles 90.00, 90.00, 90.00 degrees
Fractional coordinates of all 5 atoms:
Na 0.0000 0.0000 0.0000
Mo 0.0000 0.5000 0.5000
Mo 0.5000 0.0000 0.5000
Ru 0.0000 0.0000 0.5000
O 0.5000 0.5000 0.0000

Top 8 peaks for 10 to 80 degrees two-theta, in order of rising 2θ:
2θ 16.60, I = 100.0, hkl 0 0 1; 2θ 17.99, I = 30.5, hkl 1 0 0; 2θ 24.57, I = 22.2, hkl 1 0 1; 2θ 30.62, I = 24.5, hkl 1 1 1; 2θ 33.56, I = 30.5, hkl 0 0 2; 2θ 36.44, I = 48.4, hkl 2 0 0; 2θ 40.29, I = 42.0, hkl 2 0 1; 2θ 50.37, I = 36.7, hkl 2 0 2



No. 5
This entry pairs a crystal structure of Na2MoSeO6 with its calculated powder diffractogram. Radiation: Cu Ka. Structure: a DFT-relaxed cell (GGA+U, Alexandria).
Peak positions follow from Bragg's law for the DFT cell and can differ from measured ones.

Atomic structure:
Cell lengths 8.4808, 8.4808, 8.4808 Å; angles 90.00, 90.00, 90.00 degrees
Fractional coordinates of all 40 atoms:
Na 0.0350 0.4650 0.5350
Na 0.2467 0.2533 0.7467
Na 0.2533 0.7467 0.2467
Na 0.4650 0.5350 0.0350
Na 0.5350 0.0350 0.4650
Na 0.7467 0.2467 0.2533
Na 0.7533 0.7533 0.7533
Na 0.9650 0.9650 0.9650
Mo 0.0095 0.9905 0.4905
Mo 0.4905 0.0095 0.9905
Mo 0.5095 0.5095 0.5095
Mo 0.9905 0.4905 0.0095
Se 0.1720 0.1720 0.1720
Se 0.3280 0.8280 0.6720
Se 0.6720 0.3280 0.8280
Se 0.8280 0.6720 0.3280
O 0.0065 0.7428 0.3991
O 0.0134 0.4218 0.8117
O 0.0782 0.1883 0.5134
O 0.1009 0.9935 0.2428
O 0.1883 0.5134 0.0782
O 0.2428 0.1009 0.9935
O 0.2572 0.8991 0.4935
O 0.3117 0.4866 0.5782
O 0.3991 0.0065 0.7428
O 0.4218 0.8117 0.0134
O 0.4866 0.5782 0.3117
O 0.4935 0.2572 0.8991
O 0.5065 0.7572 0.6009
O 0.5134 0.0782 0.1883
O 0.5782 0.3117 0.4866
O 0.6009 0.5065 0.7572
O 0.6883 0.9866 0.9218
O 0.7428 0.3991 0.0065
O 0.7572 0.6009 0.5065
O 0.8117 0.0134 0.4218
O 0.8991 0.4935 0.2572
O 0.9218 0.6883 0.9866
O 0.9866 0.9218 0.6883
O 0.9935 0.2428 0.1009

Top 8 peaks for 10 to 80 degrees two-theta, in order of rising 2θ:
2θ 14.77, I = 54.3, hkl 1 1 0; 2θ 18.12, I = 88.5, hkl 1 1 1; 2θ 23.46, I = 52.6, hkl 2 1 0; 2θ 25.73, I = 33.3, hkl 2 1 1; 2θ 29.80, I = 100.0, hkl 2 2 0; 2θ 35.09, I = 53.6, hkl 3 1 1; 2θ 52.89, I = 39.0, hkl 4 2 2; 2θ 56.37, I = 33.6, hkl 3 3 3



No. 6
This entry pairs a crystal structure of NaSr2MoO5 with its calculated powder diffractogram. Radiation: Cu Ka. Structure: a DFT-relaxed cell (GGA+U, Alexandria).
Peak positions follow from Bragg's law for the DFT cell and can differ from measured ones.

Atomic structure:
Cell lengths 6.9526, 6.9526, 6.1421 Å; angles 90.00, 90.00, 90.00 degrees
Fractional coordinates of all 18 atoms:
Na 0.0000 0.0000 0.0000
Na 0.5000 0.5000 0.0000
Sr 0.1829 0.3171 0.5000
Sr 0.3171 0.8171 0.5000
Sr 0.6829 0.1829 0.5000
Sr 0.8171 0.6829 0.5000
Mo 0.0000 0.5000 0.0000
Mo 0.5000 0.0000 0.0000
O 0.0000 0.0000 0.5000
O 0.1345 0.6345 0.2203
O 0.1345 0.6345 0.7797
O 0.3655 0.1345 0.2203
O 0.3655 0.1345 0.7797
O 0.5000 0.5000 0.5000
O 0.6345 0.8655 0.2203
O 0.6345 0.8655 0.7797
O 0.8655 0.3655 0.2203
O 0.8655 0.3655 0.7797

Top 8 peaks for 10 to 80 degrees two-theta, in order of rising 2θ:
2θ 18.04, I = 47.1, hkl 1 1 0; 2θ 29.08, I = 33.7, hkl 0 0 2; 2θ 29.53, I = 100.0, hkl 2 0 1; 2θ 32.27, I = 54.3, hkl 2 1 1; 2θ 36.56, I = 27.2, hkl 2 2 0; 2θ 41.32, I = 43.6, hkl 2 1 2; 2θ 43.73, I = 31.4, hkl 3 1 1; 2θ 47.37, I = 24.7, hkl 2 2 2



No. 7
This entry pairs a crystal structure of NaTeMoO6 with its calculated powder diffractogram. Radiation: Cu Ka. Structure: a DFT-relaxed cell (GGA+U, Alexandria).
Peak positions follow from Bragg's law for the DFT cell and can differ from measured ones.

Atomic structure:
Cell lengths 5.3344, 5.3344, 10.5063 Å; angles 90.00, 90.00, 120.00 degrees
Fractional coordinates of all 18 atoms:
Na 0.0000 0.0000 0.0000
Na 0.0000 0.0000 0.5000
Te 0.3333 0.6667 0.2500
Te 0.6667 0.3333 0.7500
Mo 0.3333 0.6667 0.7500
Mo 0.6667 0.3333 0.2500
O 0.0062 0.3914 0.1450
O 0.0062 0.6148 0.3550
O 0.3852 0.3914 0.3550
O 0.3852 0.9938 0.1450
O 0.3914 0.0062 0.6450
O 0.3914 0.3852 0.8550
O 0.6086 0.6148 0.1450
O 0.6086 0.9938 0.3550
O 0.6148 0.0062 0.8550
O 0.6148 0.6086 0.6450
O 0.9938 0.3852 0.6450
O 0.9938 0.6086 0.8550

Top 8 peaks for 10 to 80 degrees two-theta, in order of rising 2θ:
2θ 16.88, I = 100.0, hkl 0 0 2; 2θ 19.21, I = 49.0, hkl 1 0 0; 2θ 25.68, I = 85.4, hkl 1 0 2; 2θ 33.60, I = 43.0, hkl 1 1 0; 2θ 37.83, I = 61.4, hkl 1 1 2; 2θ 48.65, I = 59.2, hkl 1 1 4; 2θ 55.45, I = 19.2, hkl 2 1 2; 2θ 60.08, I = 17.3, hkl 3 0 0